[1]
Diffraction record for NpTaO3. The powder diffractogram is computed, not measured: it uses a DFT-relaxed cell (PBE, the Materials Project) and λ = 1.5418 Å (Cu Kα).
Lines closer than 0.1° are merged.

Cell and atoms:
```
NpTaO3
1.0
4.038 0.000 0.000
0.000 4.038 0.000
0.000 0.000 4.038
Np Ta O
1 1 3
Direct
0.000 0.000 0.000 Np
0.500 0.500 0.500 Ta
0.000 0.500 0.500 O
0.500 0.000 0.500 O
0.500 0.500 0.000 O
```

Largest 7 diffraction maxima, low angle first, 2θ from 5° to 70°:
2θ/deg  I (rel.)
22.01  1
31.32  100
38.62  3
44.89  25
50.54  1
55.76  41
65.36  16



[2]
Diffraction record for KMg14C. The powder diffractogram is computed, not measured: it uses a DFT-relaxed cell (PBE, the Materials Project) and λ = 1.5418 Å (Cu Kα).
Lines closer than 0.1° are merged.

Cell and atoms:
```
KMg14C
1.0
6.444 0.000 0.000
-3.222 5.580 0.000
0.000 0.000 10.243
K Mg C
1 14 1
Direct
0.000 0.000 0.000 K
0.013 0.506 0.000 Mg
0.160 0.321 0.282 Mg
0.160 0.321 0.718 Mg
0.160 0.840 0.282 Mg
0.160 0.840 0.718 Mg
0.494 0.506 0.000 Mg
0.494 0.987 0.000 Mg
0.508 0.016 0.500 Mg
0.508 0.492 0.500 Mg
0.667 0.333 0.241 Mg
0.667 0.333 0.759 Mg
0.679 0.840 0.282 Mg
0.679 0.840 0.718 Mg
0.984 0.492 0.500 Mg
0.000 0.000 0.500 C
```

Largest 12 diffraction maxima, low angle first, 2θ from 5° to 70°:
2θ/deg  I (rel.)
26.10  4
29.05  3
30.70  6
32.08  26
35.04  21
36.68  100
48.24  13
55.66  4
57.18  18
63.92  13
68.86  15
69.88  13



[3]
Diffraction record for LuZnSn2. The powder diffractogram is computed, not measured: it uses a DFT-relaxed cell (PBE, the Materials Project) and λ = 1.5418 Å (Cu Kα).
Lines closer than 0.1° are merged.

Cell and atoms:
```
LuZnSn2
1.0
4.328 0.000 0.000
0.000 4.328 0.000
0.000 0.000 9.745
Lu Zn Sn
2 2 4
Direct
0.250 0.250 0.249 Lu
0.750 0.750 0.751 Lu
0.250 0.750 0.500 Zn
0.750 0.250 0.500 Zn
0.250 0.250 0.690 Sn
0.250 0.750 0.000 Sn
0.750 0.250 0.000 Sn
0.750 0.750 0.310 Sn
```

Largest 12 diffraction maxima, low angle first, 2θ from 5° to 70°:
2θ/deg  I (rel.)
27.46  5
27.57  6
30.62  5
34.61  100
36.89  13
41.74  32
50.71  6
51.42  7
56.91  15
60.51  11
65.01  6
68.30  6



[4]
Diffraction record for TaTiBe4. The powder diffractogram is computed, not measured: it uses a DFT-relaxed cell (PBE, the Materials Project) and λ = 1.5418 Å (Cu Kα).
Lines closer than 0.1° are merged.

Cell and atoms:
```
TaTiBe4
1.0
0.000 3.230 3.230
3.230 0.000 3.230
3.230 3.230 0.000
Ta Ti Be
1 1 4
Direct
0.000 0.000 0.000 Ta
0.250 0.250 0.250 Ti
0.125 0.625 0.625 Be
0.625 0.125 0.625 Be
0.625 0.625 0.125 Be
0.625 0.625 0.625 Be
```

Largest 8 diffraction maxima, low angle first, 2θ from 5° to 70°:
2θ/deg  I (rel.)
23.86  100
27.62  29
39.45  69
46.63  64
48.84  9
57.03  9
62.69  22
64.51  12



[5]
Diffraction record for PrBiO3. The powder diffractogram is computed, not measured: it uses a DFT-relaxed cell (PBE, the Materials Project) and λ = 1.5418 Å (Cu Kα).
Lines closer than 0.1° are merged.

Cell and atoms:
```
PrBiO3
1.0
4.449 0.000 0.000
0.000 4.449 0.000
0.000 0.000 4.449
Pr Bi O
1 1 3
Direct
0.000 0.000 0.000 Pr
0.500 0.500 0.500 Bi
0.000 0.500 0.500 O
0.500 0.000 0.500 O
0.500 0.500 0.000 O
```

Largest 8 diffraction maxima, low angle first, 2θ from 5° to 70°:
2θ/deg  I (rel.)
19.96  7
28.37  100
40.56  28
45.60  3
50.23  43
58.70  18
62.65  2
66.46  19



[6]
Diffraction record for Sn. The powder diffractogram is computed, not measured: it uses a DFT-relaxed cell (PBE, the Materials Project) and λ = 1.5418 Å (Cu Kα).
Lines closer than 0.1° are merged.

Cell and atoms:
```
Sn
1.0
0.000 3.323 3.323
3.323 0.000 3.323
3.323 3.323 0.000
Sn
2
Direct
0.125 0.125 0.125 Sn
0.875 0.875 0.875 Sn
```

Largest 6 diffraction maxima, low angle first, 2θ from 5° to 70°:
2θ/deg  I (rel.)
23.18  100
38.30  84
45.25  53
55.29  15
60.74  23
69.26  31